No. 1
This entry pairs a crystal structure of BiIrAu2 with its computed powder diffraction line list. Radiation: Cu Kα (weighted mean of Kα1 and Kα2). Structure: DFT lattice parameters and positions (GGA-PBE).
Kinematic intensities with the Lorentz-polarization factor, no thermal factor.

Structure:
Lattice parameters (Å, degrees): 6.7754 6.7754 6.7754 90.00 90.00 90.00
Space group F-43m (No. 216)
Inequivalent atoms, fractional coordinates:
Bi 0.0000 0.0000 0.0000 [4 per cell]
Ir 0.2500 0.2500 0.2500 [4 per cell]
Au 0.0000 0.0000 0.5000 [4 per cell]
Au 0.2500 0.2500 0.7500 [4 per cell]

Principal peaks in the range 2θ = 10–80°, low angle first:
37.5 deg, I 100
54.1 deg, I 18
67.8 deg, I 37

=====

No. 2
This entry pairs a crystal structure of Cs2AgSnBr2Cl4 with its computed powder diffraction line list. Radiation: Cu Kα (weighted mean of Kα1 and Kα2). Structure: DFT lattice parameters and positions (GGA-PBE).
Kinematic intensities with the Lorentz-polarization factor, no thermal factor.

Structure:
Lattice parameters (Å, degrees): 7.6155 7.6155 11.1730 90.00 90.00 90.00
Space group I4/mmm (No. 139)
Inequivalent atoms, fractional coordinates:
Cs 0.0000 0.5000 0.2500 [4 per cell]
Ag 0.0000 0.0000 0.0000 [2 per cell]
Sn 0.0000 0.0000 0.5000 [2 per cell]
Br 0.0000 0.0000 0.2496 [4 per cell]
Cl 0.2471 0.2471 0.5000 [8 per cell]

Principal peaks in the range 2θ = 10–80°, low angle first:
22.9 deg, I 87
23.4 deg, I 99
28.4 deg, I 54
32.0 deg, I 56
33.3 deg, I 100
40.0 deg, I 50
40.8 deg, I 38
46.9 deg, I 74

=====

No. 3
This entry pairs a crystal structure of Gd2In2Ni3Pt with its computed powder diffraction line list. Radiation: Cu Kα (weighted mean of Kα1 and Kα2). Structure: DFT lattice parameters and positions (GGA-PBE).
Kinematic intensities with the Lorentz-polarization factor, no thermal factor.

Structure:
Lattice parameters (Å, degrees): 4.4771 4.4771 8.6797 90.00 90.00 120.00
Space group P3m1 (No. 156)
Inequivalent atoms, fractional coordinates:
Gd 0.0000 0.0000 0.0000 [1 per cell]
Gd 0.3333 0.6667 0.4914 [1 per cell]
In 0.6667 0.3333 0.2490 [1 per cell]
In 0.6667 0.3333 0.7317 [1 per cell]
Ni 0.0000 0.0000 0.3304 [1 per cell]
Ni 0.0000 0.0000 0.6527 [1 per cell]
Ni 0.3333 0.6667 0.1688 [1 per cell]
Pt 0.3333 0.6667 0.8400 [1 per cell]

Principal peaks in the range 2θ = 10–80°, low angle first:
25.2 deg, I 16
30.9 deg, I 55
38.8 deg, I 94
40.3 deg, I 100
57.2 deg, I 30
69.3 deg, I 14
72.3 deg, I 30
73.2 deg, I 19

=====

No. 4
This entry pairs a crystal structure of PmAuSeO with its computed powder diffraction line list. Radiation: Cu Kα (weighted mean of Kα1 and Kα2). Structure: DFT lattice parameters and positions (GGA-PBE).
Kinematic intensities with the Lorentz-polarization factor, no thermal factor.

Structure:
Lattice parameters (Å, degrees): 5.6959 5.6959 9.5184 90.00 90.00 90.00
Space group P4bm (No. 100)
Inequivalent atoms, fractional coordinates:
Pm 0.0000 0.0000 0.0000 [2 per cell]
Pm 0.0000 0.5000 0.2469 [2 per cell]
Au 0.1804 0.3196 0.6125 [4 per cell]
Se 0.0000 0.0000 0.4165 [2 per cell]
Se 0.0000 0.5000 0.8412 [2 per cell]
O 0.2486 0.2514 0.1255 [4 per cell]

Principal peaks in the range 2θ = 10–80°, low angle first:
18.6 deg, I 47
29.0 deg, I 100
32.8 deg, I 85
36.0 deg, I 55
36.5 deg, I 63
36.8 deg, I 72
40.2 deg, I 49
45.0 deg, I 48

=====

No. 5
This entry pairs a crystal structure of TaNb6Co6 with its computed powder diffraction line list. Radiation: Cu Kα (weighted mean of Kα1 and Kα2). Structure: DFT lattice parameters and positions (GGA-PBE).
Kinematic intensities with the Lorentz-polarization factor, no thermal factor.

Structure:
Lattice parameters (Å, degrees): 4.9671 4.9671 26.0932 90.00 90.00 120.00
Space group R-3m (No. 166, hexagonal axes)
Inequivalent atoms, fractional coordinates:
Ta 0.0000 0.0000 0.0000 [3 per cell]
Nb 0.0000 0.0000 0.1664 [6 per cell]
Nb 0.0000 0.0000 0.3465 [6 per cell]
Nb 0.0000 0.0000 0.4499 [6 per cell]
Co 0.0078 0.5039 0.4117 [18 per cell]

Principal peaks in the range 2θ = 10–80°, low angle first:
36.2 deg, I 83
40.4 deg, I 24
41.9 deg, I 100
43.6 deg, I 51
45.6 deg, I 39
69.0 deg, I 22
70.2 deg, I 24
76.7 deg, I 29

=====

No. 6
This entry pairs a crystal structure of AuBr with its computed powder diffraction line list. Radiation: Cu Kα (weighted mean of Kα1 and Kα2). Structure: DFT lattice parameters and positions (GGA-PBE).
Kinematic intensities with the Lorentz-polarization factor, no thermal factor.

Structure:
Lattice parameters (Å, degrees): 5.9636 6.1626 13.5045 90.00 90.00 90.00
Space group Cmce (No. 64)
Inequivalent atoms, fractional coordinates:
Au 0.2500 0.2465 0.2500 [8 per cell]
Br 0.0000 0.2485 0.1018 [8 per cell]

Principal peaks in the range 2θ = 10–80°, low angle first:
13.1 deg, I 100
24.6 deg, I 21
29.0 deg, I 43
31.9 deg, I 26
32.8 deg, I 39
40.4 deg, I 32
44.4 deg, I 34
50.4 deg, I 34

=====

No. 7
This entry pairs a crystal structure of Pr2SnO5 with its computed powder diffraction line list. Radiation: Cu Kα (weighted mean of Kα1 and Kα2). Structure: DFT lattice parameters and positions (GGA-PBE).
Kinematic intensities with the Lorentz-polarization factor, no thermal factor.

Structure:
Lattice parameters (Å, degrees): 6.4804 9.6560 3.3720 90.00 90.00 90.00
Space group Pbam (No. 55)
Inequivalent atoms, fractional coordinates:
Pr 0.0526 0.1683 0.0000 [4 per cell]
Sn 0.0000 0.5000 0.5000 [2 per cell]
O 0.0000 0.0000 0.5000 [2 per cell]
O 0.1520 0.6917 0.5000 [4 per cell]
O 0.1707 0.4223 0.0000 [4 per cell]

Principal peaks in the range 2θ = 10–80°, low angle first:
27.5 deg, I 59
31.0 deg, I 100
31.3 deg, I 80
32.4 deg, I 41
39.7 deg, I 30
43.0 deg, I 47
56.7 deg, I 25
64.0 deg, I 27

=====

No. 8
This entry pairs a crystal structure of NdErCN2O2 with its computed powder diffraction line list. Radiation: Cu Kα (weighted mean of Kα1 and Kα2). Structure: DFT lattice parameters and positions (GGA-PBE).
Kinematic intensities with the Lorentz-polarization factor, no thermal factor.

Structure:
Lattice parameters (Å, degrees): 3.7745 3.7745 8.2110 90.00 90.00 120.00
Space group P3m1 (No. 156)
Inequivalent atoms, fractional coordinates:
Nd 0.0000 0.0000 0.0000 [1 per cell]
Er 0.6667 0.3333 0.6428 [1 per cell]
C 0.3333 0.6667 0.3252 [1 per cell]
N 0.3333 0.6667 0.1744 [1 per cell]
N 0.3333 0.6667 0.4755 [1 per cell]
O 0.0000 0.0000 0.7082 [1 per cell]
O 0.6667 0.3333 0.9136 [1 per cell]

Principal peaks in the range 2θ = 10–80°, low angle first:
10.8 deg, I 48
21.6 deg, I 19
29.4 deg, I 100
35.1 deg, I 43
43.1 deg, I 21
48.2 deg, I 29
52.7 deg, I 24
59.5 deg, I 20

=====

No. 9
This entry pairs a crystal structure of Cs2Pm4Cu4S9 with its computed powder diffraction line list. Radiation: Cu Kα (weighted mean of Kα1 and Kα2). Structure: DFT lattice parameters and positions (GGA-PBE).
Kinematic intensities with the Lorentz-polarization factor, no thermal factor.

Structure:
Lattice parameters (Å, degrees): 14.2504 4.0501 16.4667 90.00 108.54 90.00
Space group C2/m (No. 12)
Inequivalent atoms, fractional coordinates:
Cs 0.0275 0.0000 0.2695 [4 per cell]
Pm 0.1535 0.5000 0.5531 [4 per cell]
Pm 0.2302 0.0000 0.1022 [4 per cell]
Cu 0.0701 0.5000 0.9620 [4 per cell]
Cu 0.2443 0.0000 0.7245 [4 per cell]
S 0.0000 0.0000 0.5000 [2 per cell]
S 0.1038 0.5000 0.1196 [4 per cell]
S 0.1380 0.0000 0.9260 [4 per cell]
S 0.1645 0.5000 0.7240 [4 per cell]
S 0.2056 0.5000 0.4004 [4 per cell]

Principal peaks in the range 2θ = 10–80°, low angle first:
22.4 deg, I 66
24.7 deg, I 49
25.2 deg, I 100
26.6 deg, I 92
27.4 deg, I 65
29.4 deg, I 66
31.4 deg, I 81
44.8 deg, I 95

=====

No. 10
This entry pairs a crystal structure of Tb11In6Si4 with its computed powder diffraction line list. Radiation: Cu Kα (weighted mean of Kα1 and Kα2). Structure: DFT lattice parameters and positions (GGA-PBE).
Kinematic intensities with the Lorentz-polarization factor, no thermal factor.

Structure:
Lattice parameters (Å, degrees): 11.5361 11.5361 16.2394 90.00 90.00 90.00
Space group I4/mmm (No. 139)
Inequivalent atoms, fractional coordinates:
Tb 0.0000 0.0000 0.1678 [4 per cell]
Tb 0.0000 0.2501 0.3150 [16 per cell]
Tb 0.0000 0.3478 0.1007 [16 per cell]
Tb 0.1668 0.1668 0.5000 [8 per cell]
In 0.1286 0.1286 0.0000 [8 per cell]
In 0.2061 0.2061 0.1709 [16 per cell]
Si 0.0000 0.0000 0.3803 [4 per cell]
Si 0.0000 0.3466 0.5000 [8 per cell]
Si 0.0000 0.5000 0.2500 [4 per cell]

Principal peaks in the range 2θ = 10–80°, low angle first:
28.4 deg, I 19
32.5 deg, I 87
32.6 deg, I 39
33.0 deg, I 100
36.2 deg, I 27
53.6 deg, I 16
56.5 deg, I 17
65.5 deg, I 23